Structure and computed X-ray diffraction stick pattern of K2NaGaAu2 (a GGA-PBE-relaxed structure; Cu Kα).
Kinematic intensities with the Lorentz-polarization factor, no thermal factor.

Top 8 peaks for 2θ from 10° to 80°, in order of rising 2θ:
| (hkl) | Position (°2θ) | d (Å) | I (rel.) |
| --- | --- | --- | --- |
| 0 1 0 | 10.5 | 8.462 | 1000 |
| 0 1 1 | 15.1 | 5.883 | 978 |
| 1 1 0 | 20.8 | 4.269 | 707 |
| 1 1 1 | 23.5 | 3.786 | 927 |
| 1 1 2 | 30.2 | 2.955 | 739 |
| 0 3 1 | 33.6 | 2.667 | 754 |
| 1 2 2 | 35.5 | 2.528 | 863 |
| 1 0 4 | 48.1 | 1.892 | 768 |

Structural model:
abc: 4.9451 8.4616 8.1860
angles: 90.00 90.00 90.00
Space group Pmc2_1 (No. 26)
Symmetry-distinct sites (fractional):
1 K 0.0000 0.1390 0.0000
2 K 0.5000 0.1551 0.3398
3 Na 0.5000 0.4644 0.0154
4 Ga 0.0000 0.3213 0.6273
5 Au 0.0000 0.4302 0.3191
6 Au 0.5000 0.2331 0.7198

=====

Structure and computed X-ray diffraction stick pattern of K2GaNiAu (a GGA-PBE-relaxed structure; Cu Kα).
Kinematic intensities with the Lorentz-polarization factor, no thermal factor.

Top 8 peaks for 2θ from 10° to 80°, in order of rising 2θ:
| (hkl) | Position (°2θ) | d (Å) | I (rel.) |
| --- | --- | --- | --- |
| 1 0 0 | 15.0 | 5.906 | 928 |
| 1 1 0 | 21.3 | 4.176 | 752 |
| 1 1 1 | 28.2 | 3.164 | 1000 |
| 2 0 0 | 30.3 | 2.953 | 884 |
| 2 1 0 | 33.9 | 2.641 | 268 |
| 2 2 0 | 43.3 | 2.088 | 325 |
| 2 0 2 | 48.6 | 1.873 | 460 |
| 3 1 1 | 52.5 | 1.743 | 347 |

Structural model:
abc: 5.9063 5.9063 4.8467
angles: 90.00 90.00 90.00
Space group P4/mmm (No. 123)
Symmetry-distinct sites (fractional):
1 K 0.0000 0.5000 0.0000
2 Ga 0.0000 0.0000 0.5000
3 Ni 0.5000 0.5000 0.0000
4 Au 0.5000 0.5000 0.5000

=====

Structure and computed X-ray diffraction stick pattern of K3Rb2Ga2Au4 (a GGA-PBE-relaxed structure; Cu Kα).
Kinematic intensities with the Lorentz-polarization factor, no thermal factor.

Top 8 peaks for 2θ from 10° to 80°, in order of rising 2θ:
| (hkl) | Position (°2θ) | d (Å) | I (rel.) |
| --- | --- | --- | --- |
| 0 0 6 | 19.6 | 4.523 | 251 |
| 1 1 2 | 24.9 | 3.574 | 346 |
| 0 0 8 | 26.3 | 3.392 | 275 |
| 1 1 6 | 31.2 | 2.866 | 1000 |
| 2 0 0 | 34.2 | 2.619 | 699 |
| 2 0 8 | 43.7 | 2.073 | 290 |
| 2 2 0 | 49.2 | 1.852 | 270 |
| 3 1 6 | 59.4 | 1.556 | 318 |

Structural model:
abc: 5.2400 5.2400 27.1340
angles: 90.00 90.00 90.00
Space group I4/mmm (No. 139)
Symmetry-distinct sites (fractional):
1 K 0.0000 0.0000 0.0000
2 K 0.0000 0.0000 0.1464
3 Rb 0.0000 0.0000 0.3191
4 Ga 0.0000 0.0000 0.4501
5 Au 0.0000 0.5000 0.0760

=====

Structure and computed X-ray diffraction stick pattern of KGa2Sb2Au6 (a GGA-PBE-relaxed structure; Cu Kα).
Kinematic intensities with the Lorentz-polarization factor, no thermal factor.

Top 8 peaks for 2θ from 10° to 80°, in order of rising 2θ:
| (hkl) | Position (°2θ) | d (Å) | I (rel.) |
| --- | --- | --- | --- |
| 0 1 0 | 15.2 | 5.823 | 1000 |
| 2 0 1 | 31.3 | 2.854 | 352 |
| 0 1 -2 | 31.6 | 2.830 | 336 |
| 2 1 -1 | 38.6 | 2.331 | 521 |
| 2 1 3 | 39.3 | 2.293 | 500 |
| 2 -1 1 | 41.4 | 2.180 | 607 |
| 2 3 1 | 41.7 | 2.166 | 454 |
| 0 2 -2 | 41.9 | 2.154 | 438 |

Structural model:
abc: 6.5277 6.6596 7.2724
angles: 76.90 64.29 61.00
Space group P-1 (No. 2)
Symmetry-distinct sites (fractional):
1 K 0.0000 0.0000 0.0000
2 Ga 0.4079 0.2255 0.9567
3 Sb 0.1453 0.2078 0.4936
4 Au 0.0796 0.5085 0.7859
5 Au 0.3825 0.7452 0.4727
6 Au 0.3983 0.4636 0.2123

=====

Structure and computed X-ray diffraction stick pattern of La2Ga12Au (a GGA-PBE-relaxed structure; Cu Kα).
Kinematic intensities with the Lorentz-polarization factor, no thermal factor.

Top 8 peaks for 2θ from 10° to 80°, in order of rising 2θ:
| (hkl) | Position (°2θ) | d (Å) | I (rel.) |
| --- | --- | --- | --- |
| 1 1 0 | 19.9 | 4.451 | 150 |
| 1 1 4 | 30.6 | 2.923 | 1000 |
| 2 0 4 | 36.8 | 2.445 | 379 |
| 2 2 0 | 40.5 | 2.226 | 571 |
| 2 0 5 | 40.8 | 2.211 | 231 |
| 2 0 6 | 45.4 | 2.000 | 219 |
| 3 1 4 | 51.6 | 1.772 | 321 |
| 3 1 8 | 67.4 | 1.390 | 202 |

Structural model:
abc: 6.2951 6.2951 15.5349
angles: 90.00 90.00 90.00
Space group P4/nbm (No. 125, origin choice 2)
Symmetry-distinct sites (fractional):
1 La 0.2500 0.7500 0.2471
2 Ga 0.0002 0.9998 0.0922
3 Ga 0.0775 0.5775 0.4308
4 Ga 0.2500 0.2500 0.1845
5 Ga 0.2500 0.2500 0.3453
6 Au 0.2500 0.7500 0.0000

=====

Structure and computed X-ray diffraction stick pattern of La6GaAu (a GGA-PBE-relaxed structure; Cu Kα).
Kinematic intensities with the Lorentz-polarization factor, no thermal factor.

Top 8 peaks for 2θ from 10° to 80°, in order of rising 2θ:
| (hkl) | Position (°2θ) | d (Å) | I (rel.) |
| --- | --- | --- | --- |
| 1 1 4 | 31.1 | 2.872 | 1000 |
| 2 0 0 | 33.1 | 2.705 | 494 |
| 1 1 6 | 39.0 | 2.310 | 85 |
| 2 2 0 | 47.5 | 1.912 | 180 |
| 2 0 8 | 54.1 | 1.694 | 130 |
| 3 1 4 | 57.9 | 1.592 | 342 |
| 2 2 8 | 64.9 | 1.436 | 75 |
| 4 2 0 | 79.2 | 1.210 | 80 |

Structural model:
abc: 5.4094 5.4094 17.3922
angles: 90.00 90.00 90.00
Space group I4/mmm (No. 139)
Symmetry-distinct sites (fractional):
1 La 0.0000 0.0000 0.2439
2 La 0.0000 0.5000 0.1038
3 Ga 0.0000 0.0000 0.0000
4 Au 0.0000 0.0000 0.5000